Entry 1:
Structure and computed powder X-ray diffraction pattern of CoPO4F (a crystal structure in the Materials Project, relaxed with PBE+U; Cu Kα).

Atomic structure:
```
CoPO4F
1.0
5.2662 0.0000 0.0000
-0.5168 5.2701 0.0000
-2.2602 -2.5865 6.5448
Co P O F
2 2 8 2
direct
0.0000 0.0000 0.0000 Co
0.0000 0.0000 0.5000 Co
0.3497 0.6707 0.2328 P
0.6503 0.3293 0.7672 P
0.2108 0.7353 0.3955 O
0.2366 0.3734 0.0887 O
0.3043 0.8658 0.1142 O
0.3444 0.2899 0.6454 O
0.6556 0.7101 0.3546 O
0.6957 0.1342 0.8858 O
0.7634 0.6266 0.9113 O
0.7892 0.2647 0.6045 O
0.0584 0.8945 0.7273 F
0.9416 0.1055 0.2727 F
```

Largest 8 diffraction maxima, by intensity, 2θ from 10° to 90°:
2θ 18.1, intensity 100
2θ 28.4, intensity 53
2θ 26.8, intensity 51
2θ 26.6, intensity 46
2θ 37.3, intensity 22
2θ 22.7, intensity 21
2θ 26.4, intensity 17
2θ 55.3, intensity 15


Entry 2:
Structure and computed powder X-ray diffraction pattern of Li2TiMn3O8 (a crystal structure in the Materials Project, relaxed with PBE+U; Cu Kα).

Atomic structure:
```
Li2TiMn3O8
1.0
5.7918 0.0000 0.0000
-0.0411 8.8665 0.0000
-2.8277 -4.3784 9.0368
Li Ti Mn O
6 3 9 24
direct
0.0000 0.0000 0.0000 Li
0.0000 0.5000 0.5000 Li
0.1691 0.1689 0.8373 Li
0.3442 0.3336 0.6668 Li
0.6558 0.6664 0.3332 Li
0.8309 0.8311 0.1627 Li
0.1623 0.1665 0.3334 Ti
0.5000 0.5000 0.0000 Ti
0.8377 0.8335 0.6666 Ti
0.0000 0.0000 0.5000 Mn
0.0000 0.5000 0.0000 Mn
0.1676 0.6704 0.8386 Mn
0.3319 0.8329 0.6666 Mn
0.3373 0.3379 0.1708 Mn
0.5000 0.0000 0.5000 Mn
0.6627 0.6621 0.8292 Mn
0.6681 0.1671 0.3334 Mn
0.8324 0.3296 0.1614 Mn
0.0045 0.7462 0.5231 O
0.0241 0.2559 0.0236 O
0.1469 0.9207 0.8109 O
0.1504 0.3842 0.3109 O
0.1754 0.9493 0.3544 O
0.1823 0.4220 0.8582 O
0.3188 0.0774 0.6424 O
0.3255 0.5488 0.1506 O
0.3387 0.5894 0.6917 O
0.3483 0.1269 0.1882 O
0.4926 0.2092 0.4798 O
0.4927 0.7175 0.9802 O
0.5073 0.2825 0.0198 O
0.5074 0.7908 0.5202 O
0.6517 0.8731 0.8118 O
0.6613 0.4106 0.3083 O
0.6745 0.4512 0.8494 O
0.6812 0.9226 0.3576 O
0.8177 0.5780 0.1418 O
0.8246 0.0507 0.6456 O
0.8496 0.6158 0.6891 O
0.8531 0.0793 0.1891 O
0.9759 0.7441 0.9764 O
0.9955 0.2538 0.4769 O
```

Largest 8 diffraction maxima, by intensity, 2θ from 10° to 90°:
2θ 17.7, intensity 100
2θ 40.7, intensity 22
2θ 43.2, intensity 18
2θ 43.5, intensity 18
2θ 33.9, intensity 15
2θ 36.0, intensity 13
2θ 60.9, intensity 10
2θ 35.8, intensity 9


Entry 3:
Structure and computed powder X-ray diffraction pattern of Mg2V2O7 (a crystal structure in the Materials Project, relaxed with PBE+U; Cu Kα).

Atomic structure:
```
Mg2V2O7
1.0
5.0440 0.0000 0.0000
-0.8355 5.4297 0.0000
-2.2108 -2.5341 10.1465
Mg V O
4 4 14
direct
0.0147 0.2924 0.0865 Mg
0.0700 0.2873 0.5821 Mg
0.9300 0.7127 0.4179 Mg
0.9853 0.7076 0.9135 Mg
0.3523 0.2979 0.8685 V
0.4620 0.1502 0.3588 V
0.5380 0.8498 0.6412 V
0.6477 0.7021 0.1315 V
0.1229 0.4532 0.7832 O
0.1883 0.0745 0.9328 O
0.2111 0.0544 0.4396 O
0.2609 0.6161 0.5414 O
0.2916 0.5738 0.0379 O
0.3173 0.2650 0.2341 O
0.4056 0.1238 0.7147 O
0.5944 0.8762 0.2853 O
0.6827 0.7350 0.7659 O
0.7084 0.4262 0.9621 O
0.7391 0.3839 0.4586 O
0.7889 0.9456 0.5604 O
0.8117 0.9255 0.0672 O
0.8771 0.5468 0.2168 O
```

Largest 8 diffraction maxima, by intensity, 2θ from 10° to 90°:
2θ 28.2, intensity 100
2θ 27.6, intensity 97
2θ 27.5, intensity 77
2θ 28.7, intensity 72
2θ 21.2, intensity 45
2θ 23.8, intensity 42
2θ 28.5, intensity 41
2θ 22.3, intensity 37


Entry 4:
Structure and computed powder X-ray diffraction pattern of Li5Ni3Sn2O10 (a crystal structure in the Materials Project, relaxed with PBE+U; Cu Kα).

Atomic structure:
```
Li5Ni3Sn2O10
1.0
5.2107 0.0000 0.0000
-0.9771 5.1374 0.0000
-1.5829 -2.8531 7.3226
Li Ni Sn O
5 3 2 10
direct
0.0000 0.0000 0.0000 Li
0.0830 0.2028 0.7036 Li
0.2753 0.5881 0.0989 Li
0.7247 0.4119 0.9011 Li
0.9170 0.7972 0.2964 Li
0.2003 0.3964 0.3999 Ni
0.5000 0.0000 0.5000 Ni
0.7997 0.6036 0.6001 Ni
0.3954 0.7920 0.8011 Sn
0.6046 0.2080 0.1989 Sn
0.0426 0.6024 0.8366 O
0.1645 0.7978 0.5535 O
0.2765 0.0146 0.2723 O
0.3587 0.1883 0.9544 O
0.4482 0.4081 0.6434 O
0.5518 0.5919 0.3566 O
0.6413 0.8117 0.0456 O
0.7235 0.9854 0.7277 O
0.8355 0.2022 0.4465 O
0.9574 0.3976 0.1634 O
```

Largest 8 diffraction maxima, by intensity, 2θ from 10° to 90°:
2θ 18.1, intensity 100
2θ 41.8, intensity 37
2θ 41.9, intensity 33
2θ 43.0, intensity 31
2θ 36.3, intensity 24
2θ 22.2, intensity 21
2θ 12.1, intensity 16
2θ 25.7, intensity 16


Entry 5:
Structure and computed powder X-ray diffraction pattern of AlV4Cu3O12 (a crystal structure in the Materials Project, relaxed with PBE+U; Cu Kα).

Atomic structure:
```
AlV4Cu3O12
1.0
6.3486 0.0000 0.0000
-1.9767 6.1038 0.0000
-2.1450 -3.0427 5.3742
Al V Cu O
1 4 3 12
direct
0.0000 0.0000 0.0000 Al
0.3739 0.8079 0.8265 V
0.4332 0.3658 0.3813 V
0.8770 0.8204 0.3402 V
0.8841 0.3289 0.8252 V
0.3642 0.8160 0.3162 Cu
0.3768 0.3149 0.8337 Cu
0.8859 0.3146 0.3332 Cu
0.0624 0.5016 0.7028 O
0.0744 0.1280 0.3225 O
0.1838 0.9431 0.6476 O
0.1878 0.2940 0.0198 O
0.3124 0.9894 0.1122 O
0.3920 0.6300 0.5097 O
0.5662 0.3330 0.6467 O
0.5697 0.6865 0.0196 O
0.6998 0.4996 0.3459 O
0.7329 0.0788 0.9412 O
0.7436 0.9908 0.5057 O
0.9923 0.6392 0.1342 O
```

Largest 8 diffraction maxima, by intensity, 2θ from 10° to 90°:
2θ 33.8, intensity 100
2θ 34.2, intensity 53
2θ 34.8, intensity 46
2θ 33.9, intensity 45
2θ 33.3, intensity 44
2θ 59.9, intensity 31
2θ 28.9, intensity 30
2θ 48.8, intensity 28


Entry 6:
Structure and computed powder X-ray diffraction pattern of Mg6SiNiO8 (a crystal structure in the Materials Project, relaxed with PBE+U; Cu Kα).

Atomic structure:
```
Mg6SiNiO8
1.0
4.2511 0.0000 0.0000
0.0000 4.2511 0.0000
0.0000 0.0000 8.6841
Mg Si Ni O
6 1 1 8
direct
0.0000 0.0000 0.0000 Mg
0.0000 0.0000 0.5000 Mg
0.0000 0.5000 0.2412 Mg
0.0000 0.5000 0.7588 Mg
0.5000 0.0000 0.2412 Mg
0.5000 0.0000 0.7588 Mg
0.5000 0.5000 0.5000 Si
0.5000 0.5000 0.0000 Ni
0.0000 0.0000 0.2504 O
0.0000 0.0000 0.7496 O
0.0000 0.5000 0.0000 O
0.0000 0.5000 0.5000 O
0.5000 0.0000 0.0000 O
0.5000 0.0000 0.5000 O
0.5000 0.5000 0.2888 O
0.5000 0.5000 0.7112 O
```

Largest 8 diffraction maxima, by intensity, 2θ from 10° to 90°:
2θ 42.5, intensity 100
2θ 61.0, intensity 54
2θ 41.6, intensity 49
2θ 36.4, intensity 32
2θ 61.7, intensity 28
2θ 77.2, intensity 25
2θ 73.8, intensity 12
2θ 10.2, intensity 11


Entry 7:
Structure and computed powder X-ray diffraction pattern of La4NbCo3O12 (a crystal structure in the Materials Project, relaxed with PBE+U; Cu Kα).

Atomic structure:
```
La4NbCo3O12
1.0
5.6292 0.0000 0.0000
0.0488 5.7376 0.0000
0.0099 0.0076 8.0315
La Nb Co O
4 1 3 12
direct
0.0085 0.4588 0.2639 La
0.4879 0.9432 0.2606 La
0.5121 0.0568 0.7394 La
0.9915 0.5412 0.7361 La
0.0000 0.0000 0.0000 Nb
0.0000 0.0000 0.5000 Co
0.5000 0.5000 0.0000 Co
0.5000 0.5000 0.5000 Co
0.0938 0.9737 0.7571 O
0.1976 0.7133 0.0538 O
0.2046 0.7075 0.4533 O
0.2845 0.1966 0.0512 O
0.3057 0.2185 0.4532 O
0.4054 0.4679 0.7503 O
0.5946 0.5321 0.2497 O
0.6943 0.7815 0.5468 O
0.7155 0.8034 0.9488 O
0.7954 0.2925 0.5467 O
0.8024 0.2867 0.9462 O
0.9062 0.0263 0.2429 O
```

Largest 8 diffraction maxima, by intensity, 2θ from 10° to 90°:
2θ 31.6, intensity 100
2θ 31.4, intensity 99
2θ 31.8, intensity 49
2θ 31.2, intensity 43
2θ 56.3, intensity 34
2θ 45.2, intensity 28
2θ 55.8, intensity 24
2θ 45.3, intensity 24


Entry 8:
Structure and computed powder X-ray diffraction pattern of Li3Mn4B4O12 (a crystal structure in the Materials Project, relaxed with PBE+U; Cu Kα).

Atomic structure:
```
Li3Mn4B4O12
1.0
6.1928 0.0000 0.0000
2.6813 8.6721 0.0000
1.6558 1.5862 9.3965
Li Mn B O
6 8 8 24
direct
0.0861 0.1073 0.2575 Li
0.1808 0.3813 0.5011 Li
0.3142 0.6178 0.9999 Li
0.6858 0.3822 0.0001 Li
0.8192 0.6187 0.4989 Li
0.9139 0.8927 0.7425 Li
0.0353 0.7956 0.2163 Mn
0.2352 0.7089 0.5207 Mn
0.2817 0.2926 0.9666 Mn
0.4879 0.1878 0.2767 Mn
0.5121 0.8122 0.7233 Mn
0.7183 0.7074 0.0334 Mn
0.7648 0.2911 0.4793 Mn
0.9647 0.2044 0.7837 Mn
0.0339 0.4593 0.2307 B
0.2134 0.0395 0.5296 B
0.2576 0.9667 0.9773 B
0.4526 0.5296 0.2677 B
0.5474 0.4704 0.7323 B
0.7424 0.0333 0.0227 B
0.7866 0.9605 0.4704 B
0.9661 0.5407 0.7693 B
0.0387 0.6012 0.1366 O
0.0706 0.5356 0.6322 O
0.1039 0.1816 0.5774 O
0.1449 0.3199 0.1801 O
0.1528 0.9771 0.1133 O
0.2034 0.9001 0.6237 O
0.2454 0.1059 0.8776 O
0.3133 0.0343 0.3932 O
0.3136 0.6716 0.3072 O
0.3862 0.8239 0.9394 O
0.4334 0.4740 0.8672 O
0.4612 0.3941 0.3685 O
0.5388 0.6059 0.6315 O
0.5666 0.5260 0.1328 O
0.6138 0.1761 0.0606 O
0.6864 0.3284 0.6928 O
0.6867 0.9657 0.6068 O
0.7546 0.8941 0.1224 O
0.7966 0.0999 0.3763 O
0.8472 0.0229 0.8867 O
0.8551 0.6801 0.8199 O
0.8961 0.8184 0.4226 O
0.9294 0.4644 0.3678 O
0.9613 0.3988 0.8634 O
```

Largest 8 diffraction maxima, by intensity, 2θ from 10° to 90°:
2θ 34.0, intensity 100
2θ 20.2, intensity 59
2θ 22.6, intensity 47
2θ 21.9, intensity 30
2θ 40.6, intensity 23
2θ 39.8, intensity 17
2θ 20.8, intensity 17
2θ 34.5, intensity 16


Entry 9:
Structure and computed powder X-ray diffraction pattern of Li9Mn2Co5O16 (a crystal structure in the Materials Project, relaxed with PBE+U; Cu Kα).

Atomic structure:
```
Li9Mn2Co5O16
1.0
2.9394 0.0000 0.0000
-0.3598 5.9313 0.0000
-0.2655 -0.2079 16.1958
Li Mn Co O
9 2 5 16
direct
0.0000 0.0000 0.0000 Li
0.0000 0.0000 0.5000 Li
0.0000 0.5000 0.0000 Li
0.0015 0.4994 0.7488 Li
0.4972 0.7452 0.8821 Li
0.4993 0.2503 0.6252 Li
0.5007 0.7497 0.3748 Li
0.5028 0.2548 0.1179 Li
0.9985 0.5006 0.2512 Li
0.4964 0.2554 0.8792 Mn
0.5036 0.7446 0.1208 Mn
0.0000 0.5000 0.5000 Co
0.0080 0.9978 0.2511 Co
0.5002 0.2499 0.3751 Co
0.4998 0.7501 0.6249 Co
0.9920 0.0022 0.7489 Co
0.0187 0.4701 0.8740 O
0.0234 0.9742 0.1308 O
0.0259 0.0130 0.3699 O
0.0277 0.5118 0.6190 O
0.4673 0.2352 0.7545 O
0.4727 0.2370 0.2554 O
0.4730 0.7384 0.5058 O
0.4954 0.7538 0.0088 O
0.5046 0.2462 0.9912 O
0.5270 0.2616 0.4942 O
0.5273 0.7630 0.7446 O
0.5327 0.7648 0.2455 O
0.9723 0.4882 0.3810 O
0.9741 0.9870 0.6301 O
0.9766 0.0258 0.8692 O
0.9813 0.5299 0.1260 O
```

Largest 8 diffraction maxima, by intensity, 2θ from 10° to 90°:
2θ 18.4, intensity 100
2θ 44.8, intensity 50
2θ 42.0, intensity 32
2θ 35.0, intensity 17
2θ 36.8, intensity 12
2θ 36.9, intensity 11
2θ 65.9, intensity 9
2θ 62.9, intensity 8